Simulated X-ray diffraction stick pattern
Compound: TiRe2Mo
Radiation: Cu Kα, 1.54184 Å
Structure: a structure optimized by DFT (PBE)
Peak positions follow from Bragg's law for the DFT cell and can differ from measured ones.

Main lines, in order of rising 2θ (10° ≤ 2θ ≤ 90°):
2θ (°)	intensity	(hkl)
20.10	2	1 0 0
28.56	24	1 1 0
35.15	1	1 0 1
40.83	100	2 0 0
50.59	7	2 0 1
54.97	1	2 1 1
59.12	17	2 2 0
66.95	10	3 1 0
74.35	34	3 1 1
88.48	11	4 0 0

Structural model:
```
TiRe2Mo
1.0
4.4178 0.0000 0.0000
0.0000 4.4178 0.0000
0.0000 0.0000 3.1281
Ti Re Mo
1 2 1
direct
0.0000 0.0000 0.0000
0.0000 0.5000 0.5000
0.5000 0.0000 0.5000
0.5000 0.5000 0.0000
```